Starting from DFT lattice parameters and positions (PBE), the powder diffraction line list of LiZrIn was simulated for CuKα.
Kinematic intensities with the Lorentz-polarization factor, no thermal factor.

Structural model:
```
12
Lattice="10.4572 0.0000 0.0000 0.0000 3.3331 0.0000 -2.3452 0.0000 7.1824" Properties=species:S:1:pos:R:3 pbc="T T T"
Li 0.0000 0.0000 0.0000
Li 1.1220 1.6666 2.0810
Li 5.2286 1.6666 0.0000
Li 6.3506 0.0000 2.0810
Zr -0.4111 1.6666 5.3476
Zr 1.9612 0.0000 4.6792
Zr 4.8176 0.0000 5.3476
Zr 7.1898 1.6666 4.6792
In 2.9748 0.0000 0.5097
In 4.0853 1.6666 2.8909
In 8.2034 1.6666 0.5097
In 9.3139 0.0000 2.8909
```

Largest 12 diffraction maxima, sorted by position, 2θ from 15° to 90°:
2θ/deg  I (rel.)  index
18.28  819  2 0 -1
32.05  546  1 1 1
35.08  428  2 0 2
35.95  1000  1 1 -2
37.06  491  4 0 -2
37.57  313  0 0 3
38.30  877  3 1 0
42.00  183  4 0 1
47.90  192  3 1 -3
55.11  160  0 2 0
61.03  185  3 1 3
69.12  270  7 1 -2